CoSb3: simulated powder XRD pattern (Cu Kα, 1.54184 Å), based on a DFT-relaxed cell (PBE, the Materials Project).

Atomic structure:
```
data_CoSb3
_chemical_formula_sum 'Co8 Sb24'
_cell_length_a 9.1152
_cell_length_b 9.1152
_cell_length_c 9.1152
_cell_angle_alpha 90.00
_cell_angle_beta 90.00
_cell_angle_gamma 90.00
_symmetry_space_group_name_H-M 'I m -3'
_symmetry_Int_Tables_number 204
_symmetry_space_group_name_Hall '-I 2 2 3'
loop_
_atom_site_label
_atom_site_type_symbol
_atom_site_fract_x
_atom_site_fract_y
_atom_site_fract_z
_atom_site_occupancy
Co1 Co 0.2500 0.2500 0.2500 1
Sb1 Sb 0.0000 0.3333 0.1595 1
```

The 10 most intense peaks (10° ≤ 2θ ≤ 80°), most intense first:
- 31.0 deg, rel. 100
- 36.9 deg, rel. 39
- 44.4 deg, rel. 24
- 59.1 deg, rel. 22
- 51.1 deg, rel. 21
- 70.0 deg, rel. 18
- 49.0 deg, rel. 17
- 46.7 deg, rel. 11
- 61.0 deg, rel. 9
- 42.1 deg, rel. 9

Hg3S2I2: simulated powder XRD pattern (Cu Kα, 1.54184 Å), based on a DFT-relaxed cell (PBE, the Materials Project).

Atomic structure:
```
data_Hg3S2I2
_chemical_formula_sum 'Hg24 S16 I16'
_cell_length_a 10.0247
_cell_length_b 19.4530
_cell_length_c 9.7752
_cell_angle_alpha 90.00
_cell_angle_beta 90.00
_cell_angle_gamma 90.00
_symmetry_space_group_name_H-M 'I m m a'
_symmetry_Int_Tables_number 74
_symmetry_space_group_name_Hall '-I 2b 2'
loop_
_atom_site_label
_atom_site_type_symbol
_atom_site_fract_x
_atom_site_fract_y
_atom_site_fract_z
_atom_site_occupancy
Hg1 Hg 0.0000 0.1161 0.0434 1
Hg2 Hg 0.2291 0.2500 0.5020 1
Hg3 Hg 0.2500 0.1010 0.7500 1
S1 S 0.2421 0.1248 0.9995 1
I1 I 0.0000 0.0007 0.7432 1
I2 I 0.0000 0.2500 0.2561 1
I3 I 0.0000 0.2500 0.7287 1
```

The 10 most intense peaks (10° ≤ 2θ ≤ 80°), most intense first:
- 31.5 deg, rel. 100
- 20.4 deg, rel. 31
- 35.8 deg, rel. 28
- 22.3 deg, rel. 26
- 27.1 deg, rel. 21
- 36.8 deg, rel. 21
- 24.2 deg, rel. 20
- 37.0 deg, rel. 20
- 12.6 deg, rel. 19
- 52.3 deg, rel. 14

ReS8NO2: simulated powder XRD pattern (Cu Kα, 1.54184 Å), based on a DFT-relaxed cell (PBE, the Materials Project).

Atomic structure:
```
data_ReS8NO2
_chemical_formula_sum 'Re2 S16 N2 O4'
_cell_length_a 7.8604
_cell_length_b 8.7462
_cell_length_c 10.2073
_cell_angle_alpha 83.88
_cell_angle_beta 77.62
_cell_angle_gamma 78.21
_symmetry_space_group_name_H-M 'P -1'
_symmetry_Int_Tables_number 2
_symmetry_space_group_name_Hall '-P 1'
loop_
_atom_site_label
_atom_site_type_symbol
_atom_site_fract_x
_atom_site_fract_y
_atom_site_fract_z
_atom_site_occupancy
Re1 Re 0.1048 0.4077 0.3875 1
S1 S 0.0100 0.5668 0.2168 1
S2 S 0.0166 0.2002 0.2804 1
S3 S 0.1189 0.2092 0.7399 1
S4 S 0.1358 0.1603 0.5510 1
S5 S 0.1904 0.5934 0.4813 1
S6 S 0.2224 0.1418 0.1253 1
S7 S 0.3992 0.3021 0.3215 1
S8 S 0.4409 0.1064 0.2140 1
N1 N 0.3259 0.6927 0.4700 1
O1 O 0.4238 0.4226 0.8831 1
O2 O 0.4569 0.6932 0.1133 1
```

The 10 most intense peaks (10° ≤ 2θ ≤ 80°), most intense first:
- 14.1 deg, rel. 100
- 13.3 deg, rel. 70
- 10.4 deg, rel. 45
- 11.7 deg, rel. 42
- 23.6 deg, rel. 22
- 15.0 deg, rel. 17
- 28.4 deg, rel. 17
- 35.2 deg, rel. 15
- 31.9 deg, rel. 12
- 25.1 deg, rel. 11

Ho3Sc2S7: simulated powder XRD pattern (Cu Kα, 1.54184 Å), based on a DFT-relaxed cell (PBE, the Materials Project).

Atomic structure:
```
data_Ho3Sc2S7
_chemical_formula_sum 'Ho6 Sc4 S14'
_cell_length_a 12.3671
_cell_length_b 3.7331
_cell_length_c 11.3848
_cell_angle_alpha 90.00
_cell_angle_beta 104.44
_cell_angle_gamma 90.00
_symmetry_space_group_name_H-M 'C 1 m 1'
_symmetry_Int_Tables_number 8
_symmetry_space_group_name_Hall 'C -2y'
loop_
_atom_site_label
_atom_site_type_symbol
_atom_site_fract_x
_atom_site_fract_y
_atom_site_fract_z
_atom_site_occupancy
Ho1 Ho 0.0000 0.0000 0.0000 1
Ho2 Ho 0.0866 0.5000 0.3839 1
Ho3 Ho 0.1896 0.0000 0.7621 1
Sc1 Sc 0.2763 0.5000 0.1541 1
Sc2 Sc 0.3878 0.5000 0.5721 1
S1 S 0.0418 0.5000 0.6226 1
S2 S 0.1341 0.5000 0.9314 1
S3 S 0.1531 0.0000 0.2220 1
S4 S 0.2336 0.0000 0.5250 1
S5 S 0.3537 0.5000 0.7836 1
S6 S 0.3830 0.0000 0.0791 1
S7 S 0.4203 0.5000 0.3593 1
```

The 10 most intense peaks (10° ≤ 2θ ≤ 80°), most intense first:
- 34.1 deg, rel. 100
- 24.5 deg, rel. 86
- 25.1 deg, rel. 80
- 26.9 deg, rel. 74
- 28.8 deg, rel. 59
- 39.8 deg, rel. 51
- 35.2 deg, rel. 49
- 14.8 deg, rel. 42
- 15.0 deg, rel. 40
- 42.9 deg, rel. 37

BeSe: simulated powder XRD pattern (Cu Kα, 1.54184 Å), based on a DFT-relaxed cell (PBE, the Materials Project).

Atomic structure:
```
data_BeSe
_chemical_formula_sum 'Be4 Se4'
_cell_length_a 4.9241
_cell_length_b 4.9241
_cell_length_c 4.9241
_cell_angle_alpha 90.00
_cell_angle_beta 90.00
_cell_angle_gamma 90.00
_symmetry_space_group_name_H-M 'F m -3 m'
_symmetry_Int_Tables_number 225
_symmetry_space_group_name_Hall '-F 4 2 3'
loop_
_atom_site_label
_atom_site_type_symbol
_atom_site_fract_x
_atom_site_fract_y
_atom_site_fract_z
_atom_site_occupancy
Be1 Be 0.0000 0.0000 0.0000 1
Se1 Se 0.0000 0.0000 0.5000 1
```

The 6 most intense peaks (10° ≤ 2θ ≤ 80°), most intense first:
- 31.5 deg, rel. 100
- 36.5 deg, rel. 68
- 52.6 deg, rel. 46
- 62.6 deg, rel. 41
- 65.7 deg, rel. 16
- 77.5 deg, rel. 7

ZrNiSb: simulated powder XRD pattern (Cu Kα, 1.54184 Å), based on a DFT-relaxed cell (PBE, the Materials Project).

Atomic structure:
```
data_ZrNiSb
_chemical_formula_sum 'Zr4 Ni4 Sb4'
_cell_length_a 6.7775
_cell_length_b 4.1940
_cell_length_c 7.6467
_cell_angle_alpha 90.00
_cell_angle_beta 90.00
_cell_angle_gamma 90.00
_symmetry_space_group_name_H-M 'P n m a'
_symmetry_Int_Tables_number 62
_symmetry_space_group_name_Hall '-P 2ac 2n'
loop_
_atom_site_label
_atom_site_type_symbol
_atom_site_fract_x
_atom_site_fract_y
_atom_site_fract_z
_atom_site_occupancy
Zr1 Zr 0.0017 0.2500 0.1949 1
Ni1 Ni 0.1785 0.2500 0.5857 1
Sb1 Sb 0.2098 0.7500 0.4060 1
```

The 10 most intense peaks (10° ≤ 2θ ≤ 80°), most intense first:
- 36.0 deg, rel. 100
- 41.5 deg, rel. 64
- 34.4 deg, rel. 51
- 43.1 deg, rel. 42
- 35.4 deg, rel. 32
- 41.7 deg, rel. 28
- 68.0 deg, rel. 21
- 61.5 deg, rel. 17
- 27.6 deg, rel. 16
- 57.0 deg, rel. 16

Cs2KYBr6: simulated powder XRD pattern (Cu Kα, 1.54184 Å), based on a DFT-relaxed cell (PBE, the Materials Project).

Atomic structure:
```
data_Cs2KYBr6
_chemical_formula_sum 'Cs8 K4 Y4 Br24'
_cell_length_a 11.9396
_cell_length_b 11.9396
_cell_length_c 11.9396
_cell_angle_alpha 90.00
_cell_angle_beta 90.00
_cell_angle_gamma 90.00
_symmetry_space_group_name_H-M 'F m -3 m'
_symmetry_Int_Tables_number 225
_symmetry_space_group_name_Hall '-F 4 2 3'
loop_
_atom_site_label
_atom_site_type_symbol
_atom_site_fract_x
_atom_site_fract_y
_atom_site_fract_z
_atom_site_occupancy
Cs1 Cs 0.2500 0.2500 0.2500 1
K1 K 0.0000 0.0000 0.0000 1
Y1 Y 0.0000 0.0000 0.5000 1
Br1 Br 0.0000 0.0000 0.2655 1
```

The 10 most intense peaks (10° ≤ 2θ ≤ 80°), most intense first:
- 29.9 deg, rel. 100
- 25.8 deg, rel. 96
- 42.8 deg, rel. 71
- 50.7 deg, rel. 41
- 21.0 deg, rel. 35
- 70.6 deg, rel. 29
- 53.1 deg, rel. 24
- 78.5 deg, rel. 21
- 68.5 deg, rel. 15
- 36.9 deg, rel. 14

CuH6C2SeCl: simulated powder XRD pattern (Cu Kα, 1.54184 Å), based on a DFT-relaxed cell (PBE, the Materials Project).

Atomic structure:
```
data_CuH6C2SeCl
_chemical_formula_sum 'Cu4 H24 C8 Se4 Cl4'
_cell_length_a 7.2913
_cell_length_b 6.8845
_cell_length_c 11.4025
_cell_angle_alpha 90.00
_cell_angle_beta 97.67
_cell_angle_gamma 90.00
_symmetry_space_group_name_H-M 'P 1 21/c 1'
_symmetry_Int_Tables_number 14
_symmetry_space_group_name_Hall '-P 2ybc'
loop_
_atom_site_label
_atom_site_type_symbol
_atom_site_fract_x
_atom_site_fract_y
_atom_site_fract_z
_atom_site_occupancy
Cu1 Cu 0.0001 0.0476 0.1227 1
H1 H 0.1315 0.0829 0.4478 1
H2 H 0.2991 0.5109 0.8606 1
H3 H 0.3292 0.5083 0.1589 1
H4 H 0.3496 0.2061 0.4493 1
H5 H 0.4291 0.2322 0.6709 1
H6 H 0.4536 0.0725 0.7977 1
C1 C 0.2428 0.1204 0.3962 1
C2 C 0.3647 0.1165 0.7173 1
Se1 Se 0.1315 0.2146 0.7649 1
Cl1 Cl 0.2245 0.6317 0.5332 1
```

The 10 most intense peaks (10° ≤ 2θ ≤ 80°), most intense first:
- 12.2 deg, rel. 100
- 15.1 deg, rel. 35
- 30.4 deg, rel. 31
- 22.7 deg, rel. 29
- 20.1 deg, rel. 19
- 24.9 deg, rel. 18
- 17.8 deg, rel. 15
- 41.3 deg, rel. 14
- 31.0 deg, rel. 13
- 18.8 deg, rel. 11